Simulated powder diffraction line list
Compound: KRbTiSe3
Radiation: a wavelength of 1.5418 Å
Structure: a cell relaxed with PBE
Intensities are scaled so that the largest is 100.

Largest 8 diffraction maxima, in order of rising 2θ, 10 to 90 degrees two-theta:
Position (°2θ)  I_rel  hkl
13.02  38  1 1 0
23.28  25  0 4 0
26.21  100  1 3 1
28.88  45  0 2 2
31.22  53  2 0 -2
31.56  20  1 5 0
39.31  24  3 3 -1
39.48  28  2 0 2

Atomic structure:
a = 7.790 Å, b = 15.281 Å, c = 6.940 Å
α = 90.00°, β = 102.99°, γ = 90.00°
Space group C2/c (No. 15)
Symmetry-distinct sites (fractional):
K  0.000  0.089  0.250
Rb  0.000  0.264  0.750
Ti  0.000  0.453  0.250
Se  0.000  0.297  0.250
Se  0.208  0.459  0.999

---

Simulated powder diffraction line list
Compound: KRbSi12
Radiation: a wavelength of 1.5418 Å
Structure: a cell relaxed with PBE
Intensities are scaled so that the largest is 100.

Largest 8 diffraction maxima, in order of rising 2θ, 10 to 90 degrees two-theta:
Position (°2θ)  I_rel  hkl
15.09  27  1 0 0
20.96  100  1 0 2
21.40  53  1 1 0
25.93  100  1 1 2
30.45  42  2 0 0
45.51  91  2 1 4
46.18  50  2 2 2
47.15  34  1 0 6

Atomic structure:
a = 5.871 Å, b = 5.871 Å, c = 12.244 Å
α = 90.00°, β = 90.00°, γ = 90.00°
Space group P4/mmm (No. 123)
Symmetry-distinct sites (fractional):
K  0.000  0.000  0.000
Rb  0.000  0.000  0.500
Si  0.209  0.500  0.250
Si  0.500  0.500  0.097
Si  0.500  0.500  0.403

---

Simulated powder diffraction line list
Compound: K5Rb2Sn4
Radiation: a wavelength of 1.5418 Å
Structure: a cell relaxed with PBE
Intensities are scaled so that the largest is 100.

Largest 8 diffraction maxima, in order of rising 2θ, 10 to 90 degrees two-theta:
Position (°2θ)  I_rel  hkl
14.32  100  1 1 -1
23.23  33  0 2 0
26.34  39  1 1 2
28.87  33  2 2 -2
29.18  31  5 1 -2
29.42  43  1 1 -3
39.32  24  4 2 1
39.88  25  7 1 -3

Atomic structure:
a = 16.847 Å, b = 7.659 Å, c = 10.566 Å
α = 90.00°, β = 121.46°, γ = 90.00°
Space group C2/m (No. 12)
Symmetry-distinct sites (fractional):
K  0.000  0.000  0.000
K  0.115  0.253  0.404
Rb  0.239  0.500  0.099
Sn  0.077  0.500  0.667
Sn  0.236  0.000  0.256

---

Simulated powder diffraction line list
Compound: KRbSn
Radiation: a wavelength of 1.5418 Å
Structure: a cell relaxed with PBE
Intensities are scaled so that the largest is 100.

Largest 8 diffraction maxima, in order of rising 2θ, 10 to 90 degrees two-theta:
Position (°2θ)  I_rel  hkl
13.71  74  0 2 0
24.92  35  1 1 3
25.52  52  1 3 1
26.52  41  0 0 4
29.96  100  2 0 2
30.72  50  0 4 2
33.08  88  2 2 2
57.95  25  2 6 4

Atomic structure:
a = 6.657 Å, b = 12.915 Å, c = 13.445 Å
α = 90.00°, β = 90.00°, γ = 90.00°
Space group Fmmm (No. 69)
Symmetry-distinct sites (fractional):
K  0.000  0.000  0.178
Rb  0.000  0.169  0.500
Sn  0.250  0.250  0.250

---

Simulated powder diffraction line list
Compound: K2RbSn9
Radiation: a wavelength of 1.5418 Å
Structure: a cell relaxed with PBE
Intensities are scaled so that the largest is 100.

Largest 8 diffraction maxima, in order of rising 2θ, 10 to 90 degrees two-theta:
Position (°2θ)  I_rel  hkl
15.47  46  1 0 1
30.78  28  0 2 1
32.04  100  1 1 6
34.17  46  2 0 5
35.97  28  0 0 12
37.29  38  0 2 7
50.33  30  0 3 6
54.46  34  2 2 0

Atomic structure:
a = 6.7396 Å, b = 6.7396 Å, c = 29.9629 Å
α = 90.00°, β = 90.00°, γ = 120.00°
Space group R-3m (No. 166, hexagonal axes)
Symmetry-distinct sites (fractional):
K  0.0000  0.0000  0.1395
Rb  0.0000  0.0000  0.0000
Sn  0.0000  0.0000  0.3431
Sn  0.0000  0.0000  0.5000
Sn  0.0236  0.5118  0.9156

---

Simulated powder diffraction line list
Compound: K3Rb3Sr
Radiation: a wavelength of 1.5418 Å
Structure: a cell relaxed with PBE
Intensities are scaled so that the largest is 100.

Largest 8 diffraction maxima, in order of rising 2θ, 10 to 90 degrees two-theta:
Position (°2θ)  I_rel  hkl
15.71  40  2 0 0
19.27  100  2 1 1
27.39  26  2 2 2
29.63  68  3 2 1
31.73  34  4 0 0
43.96  22  5 2 1
45.49  24  4 4 0
49.83  23  6 1 1

Atomic structure:
a = 11.281 Å, b = 11.281 Å, c = 11.281 Å
α = 90.00°, β = 90.00°, γ = 90.00°
Space group Pm-3n (No. 223)
Symmetry-distinct sites (fractional):
K  0.000  0.250  0.500
Rb  0.000  0.500  0.250
Sr  0.000  0.000  0.000

---

Simulated powder diffraction line list
Compound: K3Rb12Sr
Radiation: a wavelength of 1.5418 Å
Structure: a cell relaxed with PBE
Intensities are scaled so that the largest is 100.

Largest 8 diffraction maxima, in order of rising 2θ, 10 to 90 degrees two-theta:
Position (°2θ)  I_rel  hkl
22.12  100  1 1 4
25.42  36  2 0 0
25.95  17  0 0 8
36.26  14  2 2 0
36.64  26  2 0 8
42.89  34  3 1 4
43.55  15  1 1 12
45.13  14  2 2 8

Atomic structure:
a = 7.007 Å, b = 7.007 Å, c = 27.471 Å
α = 90.00°, β = 90.00°, γ = 90.00°
Space group P4/mmm (No. 123)
Symmetry-distinct sites (fractional):
K  0.000  0.000  0.000
K  0.000  0.000  0.254
Rb  0.000  0.500  0.127
Rb  0.000  0.500  0.379
Rb  0.500  0.500  0.000
Rb  0.500  0.500  0.253
Rb  0.500  0.500  0.500
Sr  0.000  0.000  0.500

---

Simulated powder diffraction line list
Compound: K2Rb2Sr
Radiation: a wavelength of 1.5418 Å
Structure: a cell relaxed with PBE
Intensities are scaled so that the largest is 100.

Largest 8 diffraction maxima, in order of rising 2θ, 10 to 90 degrees two-theta:
Position (°2θ)  I_rel  hkl
18.96  44  1 0 3
21.59  31  1 1 0
22.88  94  1 1 2
24.27  100  1 0 5
30.69  71  2 0 0
39.53  54  2 1 5
43.97  34  2 2 0
44.21  32  1 1 10

Atomic structure:
a = 5.820 Å, b = 5.820 Å, c = 23.621 Å
α = 90.00°, β = 90.00°, γ = 90.00°
Space group I4/mmm (No. 139)
Symmetry-distinct sites (fractional):
K  0.000  0.500  0.250
Rb  0.000  0.000  0.096
Sr  0.000  0.000  0.500